The following is a calculated powder XRD pattern of Sc2BeRu. It was derived from a DFT-relaxed cell (GGA-PBE, Alexandria), using Cu Kα (λ = 1.5418 Å).

Cell and atoms:
Cell: 3.976 5.384 5.384 Å, 37.21 90.00 90.00°
Element x y z (fractional)
Sc 0.000 0.000 0.000
Sc 0.500 0.294 0.294
Be 0.500 0.587 0.587
Ru 0.000 0.707 0.707

Top 8 peaks for 10° ≤ 2θ ≤ 90°, sorted by position:
d (Å)  2theta  Rel. int.
5.102  17.38  55
3.976  22.36  38
2.519  35.64  100
2.417  37.20  53
2.147  42.08  37
2.065  43.83  50
1.535  60.28  24
1.342  70.15  26

---

The following is a calculated powder XRD pattern of Y2Mn2Zn15. It was derived from a DFT-relaxed cell (GGA-PBE, Alexandria), using Cu Kα (λ = 1.5418 Å).

Cell and atoms:
Cell: 6.786 6.786 6.786 Å, 82.60 82.60 82.60°
Element x y z (fractional)
Y 0.164 0.164 0.164
Y 0.836 0.836 0.836
Mn 0.401 0.401 0.401
Mn 0.599 0.599 0.599
Zn 0.000 0.500 0.500
Zn 0.147 0.147 0.653
Zn 0.147 0.653 0.147
Zn 0.213 0.500 0.787
Zn 0.213 0.787 0.500
Zn 0.347 0.853 0.853
Zn 0.500 0.000 0.500
Zn 0.500 0.213 0.787
Zn 0.500 0.500 0.000
Zn 0.500 0.787 0.213
Zn 0.653 0.147 0.147
Zn 0.787 0.213 0.500
Zn 0.787 0.500 0.213
Zn 0.853 0.347 0.853
Zn 0.853 0.853 0.347

Top 8 peaks for 10° ≤ 2θ ≤ 90°, sorted by position:
d (Å)  2theta  Rel. int.
2.586  34.69  27
2.511  35.75  30
2.239  40.27  63
2.229  40.48  100
2.197  41.08  39
2.180  41.41  28
1.995  45.46  63
1.293  73.20  23

---

The following is a calculated powder XRD pattern of LaPrO3. It was derived from a DFT-relaxed cell (GGA-PBE, Alexandria), using Cu Kα (λ = 1.5418 Å).

Cell and atoms:
Cell: 6.705 6.705 6.705 Å, 52.97 52.97 52.97°
Element x y z (fractional)
La 0.144 0.144 0.144
La 0.856 0.856 0.856
Pr 0.354 0.354 0.354
Pr 0.646 0.646 0.646
O 0.042 0.461 0.746
O 0.254 0.539 0.958
O 0.461 0.746 0.042
O 0.539 0.958 0.254
O 0.746 0.042 0.461
O 0.958 0.254 0.539

Top 8 peaks for 10° ≤ 2θ ≤ 90°, sorted by position:
d (Å)  2theta  Rel. int.
4.440  20.00  23
3.313  26.91  100
2.990  29.88  92
2.220  40.64  39
2.072  43.68  46
1.782  51.25  39
1.726  53.04  27
1.636  56.22  17

---

The following is a calculated powder XRD pattern of AcSm2ErTl2. It was derived from a DFT-relaxed cell (GGA-PBE, Alexandria), using Cu Kα (λ = 1.5418 Å).

Cell and atoms:
Cell: 4.887 9.504 8.528 Å, 90.00 90.00 90.00°
Element x y z (fractional)
Ac 0.000 0.084 0.000
Ac 0.000 0.916 0.500
Sm 0.000 0.325 0.384
Sm 0.000 0.675 0.884
Sm 0.500 0.421 0.049
Sm 0.500 0.579 0.549
Er 0.500 0.191 0.665
Er 0.500 0.809 0.165
Tl 0.000 0.374 0.755
Tl 0.000 0.626 0.255
Tl 0.500 0.125 0.291
Tl 0.500 0.875 0.791

Top 8 peaks for 10° ≤ 2θ ≤ 90°, sorted by position:
d (Å)  2theta  Rel. int.
3.165  28.20  85
3.044  29.34  100
2.723  32.89  26
2.659  33.71  38
2.539  35.36  33
2.442  36.81  74
2.378  37.84  27
1.588  58.10  21

---

The following is a calculated powder XRD pattern of Cs2Rb6HgPt. It was derived from a DFT-relaxed cell (GGA-PBE, Alexandria), using Cu Kα (λ = 1.5418 Å).

Cell and atoms:
Cell: 10.022 10.022 10.016 Å, 119.96 119.96 89.99°
Element x y z (fractional)
Cs 0.250 0.750 0.000
Cs 0.750 0.250 0.000
Rb 0.231 0.231 0.500
Rb 0.232 0.232 0.967
Rb 0.232 0.766 0.500
Rb 0.765 0.765 0.501
Rb 0.766 0.232 0.500
Rb 0.766 0.766 0.034
Hg 0.498 0.498 0.501
Pt 0.998 0.998 0.500

Top 8 peaks for 10° ≤ 2θ ≤ 90°, sorted by position:
d (Å)  2theta  Rel. int.
7.088  12.49  34
5.012  17.70  79
3.544  25.13  100
2.894  30.90  39
2.506  35.83  77
2.046  44.27  27
1.894  48.03  26
1.585  58.20  32

---

The following is a calculated powder XRD pattern of Er3Fe8Mo. It was derived from a DFT-relaxed cell (GGA-PBE, Alexandria), using Cu Kα (λ = 1.5418 Å).

Cell and atoms:
Cell: 8.685 8.685 8.685 Å, 33.47 33.47 33.47°
Element x y z (fractional)
Er 0.000 0.000 0.000
Er 0.126 0.126 0.126
Er 0.504 0.504 0.504
Fe 0.058 0.563 0.563
Fe 0.066 0.066 0.568
Fe 0.066 0.568 0.066
Fe 0.314 0.314 0.314
Fe 0.563 0.058 0.563
Fe 0.563 0.563 0.058
Fe 0.568 0.066 0.066
Fe 0.814 0.814 0.814
Mo 0.627 0.627 0.627

Top 8 peaks for 10° ≤ 2θ ≤ 90°, sorted by position:
d (Å)  2theta  Rel. int.
4.088  21.74  15
2.503  35.88  65
2.135  42.34  100
2.042  44.35  11
1.444  64.52  18
1.362  68.94  22
1.253  75.96  11
1.250  76.13  11

---

The following is a calculated powder XRD pattern of Pm3BiI. It was derived from a DFT-relaxed cell (GGA-PBE, Alexandria), using Cu Kα (λ = 1.5418 Å).

Cell and atoms:
Cell: 10.055 10.055 6.624 Å, 95.32 95.32 93.64°
Element x y z (fractional)
Pm 0.036 0.782 0.975
Pm 0.133 0.540 0.341
Pm 0.218 0.964 0.525
Pm 0.263 0.389 0.855
Pm 0.389 0.263 0.355
Pm 0.460 0.867 0.159
Pm 0.540 0.133 0.841
Pm 0.611 0.737 0.645
Pm 0.737 0.611 0.145
Pm 0.782 0.036 0.475
Pm 0.867 0.460 0.659
Pm 0.964 0.218 0.025
Bi 0.061 0.237 0.509
Bi 0.237 0.061 0.009
Bi 0.763 0.939 0.991
Bi 0.939 0.763 0.491
I 0.301 0.699 0.750
I 0.435 0.565 0.250
I 0.565 0.435 0.750
I 0.699 0.301 0.250

Top 8 peaks for 10° ≤ 2θ ≤ 90°, sorted by position:
d (Å)  2theta  Rel. int.
3.095  28.85  33
3.030  29.48  57
2.974  30.05  100
2.868  31.19  24
2.542  35.30  34
2.445  36.76  26
2.260  39.89  34
2.012  45.07  22

---

The following is a calculated powder XRD pattern of RbBaCd2Cu. It was derived from a DFT-relaxed cell (GGA-PBE, Alexandria), using Cu Kα (λ = 1.5418 Å).

Cell and atoms:
Cell: 5.458 5.458 5.780 Å, 90.00 90.00 90.00°
Element x y z (fractional)
Rb 0.000 0.000 0.000
Ba 0.500 0.500 0.000
Cd 0.000 0.500 0.500
Cd 0.500 0.000 0.500
Cu 0.500 0.500 0.500

Top 8 peaks for 10° ≤ 2θ ≤ 90°, sorted by position:
d (Å)  2theta  Rel. int.
3.210  27.80  100
2.890  30.94  35
2.729  32.82  60
1.984  45.73  47
1.930  47.09  22
1.724  53.13  16
1.654  55.57  28
1.605  57.42  23